[1]
For SrPm3, DFT lattice parameters and positions (PBE) gives the calculated X-ray powder pattern in this record (a wavelength of 1.5418 Å).
Kinematic intensities with the Lorentz-polarization factor, no thermal factor.

Largest 10 diffraction maxima, sorted by position, 2θ from 10° to 80°:
2θ (°), Rel. int.
27.05, 14
27.22, 22
29.41, 36
30.87, 47
31.01, 100
40.50, 15
47.90, 20
53.15, 29
57.21, 22
58.34, 15

Cell and atoms:
```
8
Lattice="3.7756 0.0000 0.0000 0.0000 12.1476 0.0000 0.0000 0.0000 6.5923" Properties=species:S:1:pos:R:3 pbc="T T T"
Sr 0.0000 0.0000 0.0000
Sr 1.8878 6.0738 3.2961
Pm 0.0000 2.8989 4.3386
Pm 0.0000 6.0738 6.5701
Pm 0.0000 9.2487 4.3386
Pm 1.8878 0.0000 3.2739
Pm 1.8878 3.1749 1.0425
Pm 1.8878 8.9727 1.0425
```

=====

[2]
For LaPr7Ho2, DFT lattice parameters and positions (PBE) gives the calculated X-ray powder pattern in this record (a wavelength of 1.5418 Å).
Kinematic intensities with the Lorentz-polarization factor, no thermal factor.

Largest 10 diffraction maxima, sorted by position, 2θ from 10° to 80°:
2θ (°), Rel. int.
28.08, 44
29.12, 100
31.33, 30
31.44, 25
31.79, 58
32.08, 76
37.65, 22
45.23, 22
56.84, 27
65.27, 21

Cell and atoms:
```
10
Lattice="9.1385 -2.8152 0.0000 9.1385 2.8152 0.0000 -3.4146 0.0000 7.1423" Properties=species:S:1:pos:R:3 pbc="T T T"
La 0.0000 0.0000 0.0000
Pr 0.6106 0.0000 4.6991
Pr 4.4578 0.0000 4.7763
Pr 6.5286 0.0000 0.4863
Pr 7.4312 0.0000 3.5711
Pr 8.3337 0.0000 6.6560
Pr 10.4045 0.0000 2.3660
Pr 14.2517 0.0000 2.4432
Ho 3.1767 0.0000 1.5147
Ho 11.6856 0.0000 5.6276
```

=====

[3]
For SrCaFe2Cl8, DFT lattice parameters and positions (PBE) gives the calculated X-ray powder pattern in this record (a wavelength of 1.5418 Å).
Kinematic intensities with the Lorentz-polarization factor, no thermal factor.

Largest 10 diffraction maxima, sorted by position, 2θ from 10° to 80°:
2θ (°), Rel. int.
10.83, 47
13.94, 34
17.68, 82
24.26, 85
25.94, 26
26.64, 61
32.82, 29
35.83, 100
43.74, 27
49.70, 47

Cell and atoms:
```
12
Lattice="7.3379 0.0000 0.0000 -3.6689 6.3548 0.0000 0.0000 0.0000 8.1672" Properties=species:S:1:pos:R:3 pbc="T T T"
Sr 0.0000 0.0000 0.0000
Ca 0.0000 0.0000 4.0836
Fe 0.0000 4.2365 6.7080
Fe 3.6689 2.1183 1.4592
Cl 0.0000 2.0325 5.9421
Cl -1.9088 5.3386 5.9421
Cl 1.7602 1.0162 2.2251
Cl 0.0000 4.2365 0.7425
Cl 3.6689 2.1183 7.4247
Cl 1.9088 5.3386 5.9421
Cl 5.5777 1.0162 2.2251
Cl 3.6689 4.3223 2.2251
```

=====

[4]
For InGaI5, DFT lattice parameters and positions (PBE) gives the calculated X-ray powder pattern in this record (a wavelength of 1.5418 Å).
Kinematic intensities with the Lorentz-polarization factor, no thermal factor.

Largest 10 diffraction maxima, sorted by position, 2θ from 10° to 80°:
2θ (°), Rel. int.
16.80, 40
17.01, 72
17.41, 64
22.25, 36
23.68, 40
24.33, 41
24.57, 36
26.48, 100
28.02, 45
30.71, 49

Cell and atoms:
```
14
Lattice="8.0033 0.0000 0.0000 -0.4245 8.5034 0.0000 -3.4919 -4.3310 10.1558" Properties=species:S:1:pos:R:3 pbc="T T T"
In 0.0000 0.0000 0.0000
In -1.9582 2.0862 5.0779
Ga 0.6581 -2.2175 7.8173
Ga 3.4287 6.3899 2.3385
I -0.1369 1.3081 2.4783
I 1.0136 6.0483 1.3012
I -0.8796 -2.6395 9.9104
I 0.1461 0.1433 6.9123
I 0.2951 4.4814 5.9991
I 3.7917 -0.3090 4.1567
I 3.9407 4.0291 3.2434
I 4.9664 6.8119 0.2454
I 3.0733 -1.8758 8.8546
I 4.2237 2.8643 7.6775
```